1.
# Zr3Zn2Ni6
Theoretical X-ray diffraction stick pattern, λ = 1.5418 Å (Cu Kα). Input: a GGA-PBE-relaxed structure.
Lines closer than 0.1° are merged.

Structural model:
```
data_Zr3Zn2Ni6
_chemical_formula_sum 'Zr12 Zn8 Ni24'
_cell_length_a 8.596
_cell_length_b 8.596
_cell_length_c 8.596
_cell_angle_alpha 90.00
_cell_angle_beta 90.00
_cell_angle_gamma 90.00
_symmetry_space_group_name_H-M 'I m -3 m'
_symmetry_Int_Tables_number 229
_symmetry_space_group_name_Hall '-I 4 2 3'
loop_
_atom_site_label
_atom_site_fract_x
_atom_site_fract_y
_atom_site_fract_z
_atom_site_occupancy
Zr1 0.000 0.000 0.278 1
Zn1 0.250 0.250 0.250 1
Ni1 0.000 0.346 0.346 1
```

Top 6 peaks for 10 to 90 degrees two-theta, in order of rising 2θ:
index	2theta	intensity
2 2 2	36.20	402
3 2 1	39.21	327
4 0 0	42.05	173
3 3 0	44.73	1000
6 2 2	73.01	204
6 3 3	82.45	177


2.
# Li3H6Os
Theoretical X-ray diffraction stick pattern, λ = 1.5418 Å (Cu Kα). Input: a GGA-PBE-relaxed structure.
Lines closer than 0.1° are merged.

Structural model:
```
data_Li3H6Os
_chemical_formula_sum 'Li6 H12 Os2'
_cell_length_a 8.435
_cell_length_b 4.880
_cell_length_c 4.762
_cell_angle_alpha 90.00
_cell_angle_beta 124.30
_cell_angle_gamma 90.00
_symmetry_space_group_name_H-M 'C 1 2/m 1'
_symmetry_Int_Tables_number 12
loop_
_symmetry_equiv_pos_as_xyz
'x,y,z'
'-x,-y,-z'
'-x,y,-z'
'x,-y,z'
'x+1/2,y+1/2,z'
'-x+1/2,-y+1/2,-z'
'-x+1/2,y+1/2,-z'
'x+1/2,-y+1/2,z'
loop_
_atom_site_label
_atom_site_fract_x
_atom_site_fract_y
_atom_site_fract_z
_atom_site_occupancy
Li1 0.000 0.000 0.000 1
Li2 0.249 0.000 0.729 1
H1 0.071 0.257 0.335 1
H2 0.233 0.500 0.847 1
Os1 0.000 0.500 0.500 1
```

Top 6 peaks for 10 to 90 degrees two-theta, in order of rising 2θ:
index	2theta	intensity
1 1 0	22.24	1000
0 0 1	22.62	965
2 0 0	25.57	359
1 1 -1	26.15	692
3 1 -1	36.88	836
2 2 -1	43.66	346


3.
# Ba4SiGeS8
Theoretical X-ray diffraction stick pattern, λ = 1.5418 Å (Cu Kα). Input: a GGA-PBE-relaxed structure.
Lines closer than 0.1° are merged.

Structural model:
```
data_Ba4SiGeS8
_chemical_formula_sum 'Ba8 Si2 Ge2 S16'
_cell_length_a 6.857
_cell_length_b 12.588
_cell_length_c 9.014
_cell_angle_alpha 90.00
_cell_angle_beta 90.00
_cell_angle_gamma 90.00
_symmetry_space_group_name_H-M 'P m c 21'
_symmetry_Int_Tables_number 26
loop_
_symmetry_equiv_pos_as_xyz
'x,y,z'
'-x,-y,z+1/2'
'-x,y,z'
'x,-y,z+1/2'
loop_
_atom_site_label
_atom_site_fract_x
_atom_site_fract_y
_atom_site_fract_z
_atom_site_occupancy
Ba1 0.000 0.080 0.000 1
Ba2 0.000 0.317 0.359 1
Ba3 0.500 0.168 0.613 1
Ba4 0.500 0.419 0.968 1
Si1 0.500 0.173 0.212 1
Ge1 0.000 0.325 0.757 1
S1 0.000 0.158 0.670 1
S2 0.000 0.342 0.001 1
S3 0.248 0.100 0.304 1
S4 0.266 0.394 0.657 1
S5 0.500 0.159 0.977 1
S6 0.500 0.333 0.294 1
```

Top 6 peaks for 10 to 90 degrees two-theta, in order of rising 2θ:
index	2theta	intensity
1 2 1	21.55	1000
1 3 0	24.88	686
2 0 0	25.99	889
0 1 3	30.59	579
1 1 3	33.33	467
2 3 1	35.24	495